Starting from a PBE-relaxed structure, the powder diffractogram of PuGeH2Ru was simulated for a wavelength of 1.5418 Å.
No peak broadening, texture or thermal motion is included.

Structural model:
abc: 5.646 5.646 5.847
angles: 90.00 90.00 138.80
Atoms (fractional coordinates):
Pu  0.207  0.793  0.750
Pu  0.793  0.207  0.250
Ge  0.078  0.922  0.250
Ge  0.922  0.078  0.750
H  0.338  0.662  0.063
H  0.338  0.662  0.437
H  0.662  0.338  0.563
H  0.662  0.338  0.937
Ru  0.500  0.500  0.000
Ru  0.500  0.500  0.500

Top 6 peaks for 10 to 80 degrees two-theta, low angle first:
Position (°2θ)	I/Imax
28.45	76
34.00	58
35.08	43
37.39	100
39.20	50
58.89	47